# 1
# Mo4H8N2O13
Calculated PXRD pattern, Cu Kα, 1.54184 Å. Input: a DFT-relaxed cell (GGA+U, Alexandria).

Principal peaks in the range 2θ from 10° to 80°, by angle:
11.82°, d = 7.485 Å, intensity 37
11.93°, d = 7.415 Å, intensity 100
23.73°, d = 3.750 Å, intensity 29
25.32°, d = 3.518 Å, intensity 21
29.34°, d = 3.044 Å, intensity 36
36.63°, d = 2.453 Å, intensity 20

Crystal structure
a b c (Å): 8.569 8.621 10.556
angles (deg): 104.92 106.42 109.32
Fractional positions:
Mo  0.015  0.332  0.057
Mo  0.109  0.269  0.737
Mo  0.294  0.738  0.282
Mo  0.414  0.353  0.072
Mo  0.586  0.647  0.928
Mo  0.706  0.262  0.718
Mo  0.891  0.731  0.263
Mo  0.985  0.668  0.943
H  0.182  0.833  0.749
H  0.236  0.102  0.405
H  0.241  0.294  0.507
H  0.256  0.271  0.349
H  0.268  0.708  0.668
H  0.360  0.931  0.709
H  0.387  0.851  0.840
H  0.431  0.291  0.486
H  0.569  0.709  0.514
H  0.613  0.149  0.160
H  0.640  0.069  0.291
H  0.732  0.292  0.332
H  0.744  0.729  0.651
H  0.759  0.706  0.493
H  0.764  0.898  0.595
H  0.818  0.167  0.251
N  0.291  0.240  0.438
N  0.298  0.830  0.741
N  0.702  0.170  0.259
N  0.709  0.760  0.562
O  0.011  0.454  0.863
O  0.024  0.246  0.190
O  0.128  0.375  0.618
O  0.145  0.228  0.955
O  0.147  0.086  0.672
O  0.149  0.864  0.328
O  0.204  0.805  0.080
O  0.284  0.538  0.141
O  0.323  0.663  0.423
O  0.364  0.439  0.885
O  0.450  0.350  0.242
O  0.461  0.179  0.994
O  0.495  0.089  0.665
O  0.505  0.911  0.335
O  0.539  0.821  0.006
O  0.550  0.650  0.758
O  0.636  0.561  0.115
O  0.677  0.337  0.577
O  0.716  0.462  0.859
O  0.796  0.195  0.920
O  0.851  0.136  0.672
O  0.853  0.914  0.328
O  0.855  0.772  0.045
O  0.872  0.625  0.382
O  0.976  0.754  0.810
O  0.989  0.546  0.137

# 2
# MoH8S2N2O2
Calculated PXRD pattern, Cu Kα, 1.54184 Å. Input: a DFT-relaxed cell (GGA+U, Alexandria).

Principal peaks in the range 2θ from 10° to 80°, by angle:
14.84°, d = 5.970 Å, intensity 100
15.75°, d = 5.628 Å, intensity 35
16.94°, d = 5.234 Å, intensity 70
22.30°, d = 3.986 Å, intensity 38
25.78°, d = 3.455 Å, intensity 40
27.39°, d = 3.257 Å, intensity 36

Crystal structure
a b c (Å): 6.930 6.930 9.554
angles (deg): 113.16 113.16 63.25
Fractional positions:
Mo  0.085  0.915  0.750
Mo  0.915  0.085  0.250
H  0.120  0.524  0.182
H  0.190  0.284  0.038
H  0.200  0.270  0.216
H  0.270  0.200  0.716
H  0.284  0.190  0.538
H  0.344  0.391  0.704
H  0.391  0.344  0.204
H  0.476  0.880  0.318
H  0.524  0.120  0.682
H  0.609  0.656  0.796
H  0.656  0.609  0.296
H  0.716  0.810  0.462
H  0.730  0.800  0.284
H  0.800  0.730  0.784
H  0.810  0.716  0.962
H  0.880  0.476  0.818
S  0.256  0.725  0.560
S  0.275  0.744  0.940
S  0.725  0.256  0.060
S  0.744  0.275  0.440
N  0.225  0.356  0.160
N  0.356  0.225  0.660
N  0.644  0.775  0.340
N  0.775  0.644  0.840
O  0.093  0.196  0.823
O  0.196  0.093  0.323
O  0.804  0.907  0.677
O  0.907  0.804  0.177